For NaSbI4, a cell relaxed with GGA-PBE gives the calculated powder XRD pattern in this record (a wavelength of 1.5418 Å).
Peak positions follow from Bragg's law for the DFT cell and can differ from measured ones.

Crystal structure
```
data_NaSbI4
_space_group_name_H-M_alt 'P 1'
_space_group_IT_number 1
_space_group_name_Hall 'P 1'
_cell_length_a 9.0036
_cell_length_b 9.0036
_cell_length_c 8.0061
_cell_angle_alpha 115.97
_cell_angle_beta 115.97
_cell_angle_gamma 28.43
loop_
_atom_site_label
_atom_site_type_symbol
_atom_site_fract_x
_atom_site_fract_y
_atom_site_fract_z
Na1 Na 0.0000 0.0000 0.0000
Sb1 Sb 0.5000 0.5000 0.5000
I1 I 0.1162 0.1162 0.7633
I2 I 0.3894 0.3894 0.7017
I3 I 0.6106 0.6106 0.2983
I4 I 0.8838 0.8838 0.2367
```

Main lines, low angle first (2θ from 10° to 80°):
d 7.786, 2θ 11.36, I 40.5; d 7.125, 2θ 12.42, I 25.5; d 3.893, 2θ 22.84, I 19.2; d 3.549, 2θ 25.09, I 36.8; d 3.468, 2θ 25.68, I 100.0; d 2.780, 2θ 32.20, I 17.4; d 2.750, 2θ 32.56, I 35.7; d 2.285, 2θ 39.44, I 30.3; d 2.186, 2θ 41.30, I 17.9; d 2.152, 2θ 41.99, I 27.4

For KCo5S8, a cell relaxed with GGA-PBE gives the calculated powder XRD pattern in this record (a wavelength of 1.5418 Å).
Peak positions follow from Bragg's law for the DFT cell and can differ from measured ones.

Crystal structure
```
data_KCo5S8
_space_group_name_H-M_alt 'P 1'
_space_group_IT_number 1
_space_group_name_Hall 'P 1'
_cell_length_a 8.8536
_cell_length_b 8.8536
_cell_length_c 8.1415
_cell_angle_alpha 106.43
_cell_angle_beta 106.43
_cell_angle_gamma 21.93
loop_
_atom_site_label
_atom_site_type_symbol
_atom_site_fract_x
_atom_site_fract_y
_atom_site_fract_z
K1 K 0.0000 0.0000 0.0000
Co1 Co 0.1584 0.1584 0.4720
Co2 Co 0.2024 0.2024 0.8241
Co3 Co 0.4995 0.4995 0.5003
Co4 Co 0.7967 0.7967 0.1764
Co5 Co 0.8406 0.8406 0.5285
S1 S 0.0773 0.0773 0.6338
S2 S 0.2607 0.2607 0.3479
S3 S 0.3224 0.3224 0.0195
S4 S 0.4140 0.4140 0.6669
S5 S 0.5851 0.5851 0.3336
S6 S 0.6768 0.6768 0.9810
S7 S 0.7383 0.7383 0.6526
S8 S 0.9218 0.9218 0.3667
```

Main lines, low angle first (2θ from 10° to 80°):
d 8.323, 2θ 10.63, I 47.8; d 7.796, 2θ 11.35, I 100.0; d 6.741, 2θ 13.13, I 43.5; d 4.210, 2θ 21.10, I 37.1; d 2.579, 2θ 34.79, I 66.6; d 2.503, 2θ 35.88, I 34.4; d 2.091, 2θ 43.27, I 35.7; d 1.800, 2θ 50.72, I 41.9; d 1.684, 2θ 54.49, I 32.1; d 1.674, 2θ 54.86, I 59.2

For SnH4I3N, a cell relaxed with GGA-PBE gives the calculated powder XRD pattern in this record (a wavelength of 1.5418 Å).
Peak positions follow from Bragg's law for the DFT cell and can differ from measured ones.

Crystal structure
```
data_SnH4I3N
_space_group_name_H-M_alt 'P 1'
_space_group_IT_number 1
_space_group_name_Hall 'P 1'
_cell_length_a 10.6612
_cell_length_b 4.7508
_cell_length_c 18.6765
_cell_angle_alpha 90.00
_cell_angle_beta 90.00
_cell_angle_gamma 90.00
loop_
_atom_site_label
_atom_site_type_symbol
_atom_site_fract_x
_atom_site_fract_y
_atom_site_fract_z
Sn1 Sn 0.1488 0.2500 0.0703
Sn2 Sn 0.3512 0.7500 0.5703
Sn3 Sn 0.6488 0.2500 0.4297
Sn4 Sn 0.8512 0.7500 0.9297
H1 H 0.0367 0.2500 0.6520
H2 H 0.0549 0.5741 0.2862
H3 H 0.0549 0.9259 0.2862
H4 H 0.0750 0.2500 0.7398
H5 H 0.4250 0.7500 0.2398
H6 H 0.4451 0.0741 0.7862
H7 H 0.4451 0.4259 0.7862
H8 H 0.4633 0.7500 0.1520
H9 H 0.5367 0.2500 0.8480
H10 H 0.5549 0.5741 0.2138
H11 H 0.5549 0.9259 0.2138
H12 H 0.5750 0.2500 0.7602
H13 H 0.9250 0.7500 0.2602
H14 H 0.9451 0.0741 0.7138
H15 H 0.9451 0.4259 0.7138
H16 H 0.9633 0.7500 0.3480
I1 I 0.0577 0.2500 0.9018
I2 I 0.1599 0.2500 0.5340
I3 I 0.2253 0.2500 0.2337
I4 I 0.2747 0.7500 0.7337
I5 I 0.3401 0.7500 0.0340
I6 I 0.4423 0.7500 0.4018
I7 I 0.5577 0.2500 0.5982
I8 I 0.6599 0.2500 0.9660
I9 I 0.7253 0.2500 0.2663
I10 I 0.7747 0.7500 0.7663
I11 I 0.8401 0.7500 0.4660
I12 I 0.9423 0.7500 0.0982
N1 N 0.0010 0.2500 0.7041
N2 N 0.4990 0.7500 0.2041
N3 N 0.5010 0.2500 0.7959
N4 N 0.9990 0.7500 0.2959
```

Main lines, low angle first (2θ from 10° to 80°):
d 7.025, 2θ 12.60, I 34.3; d 3.777, 2θ 23.56, I 27.5; d 3.549, 2θ 25.09, I 100.0; d 3.519, 2θ 25.31, I 54.0; d 3.485, 2θ 25.56, I 51.0; d 3.316, 2θ 26.88, I 35.7; d 2.722, 2θ 32.90, I 26.0; d 2.430, 2θ 36.99, I 26.6; d 2.375, 2θ 37.88, I 29.7; d 2.080, 2θ 43.52, I 25.7

For Y4In2GaHg, a cell relaxed with GGA-PBE gives the calculated powder XRD pattern in this record (a wavelength of 1.5418 Å).
Peak positions follow from Bragg's law for the DFT cell and can differ from measured ones.

Crystal structure
```
data_Y4In2GaHg
_space_group_name_H-M_alt 'P 1'
_space_group_IT_number 1
_space_group_name_Hall 'P 1'
_cell_length_a 9.0843
_cell_length_b 9.0843
_cell_length_c 9.0843
_cell_angle_alpha 33.68
_cell_angle_beta 33.68
_cell_angle_gamma 33.68
loop_
_atom_site_label
_atom_site_type_symbol
_atom_site_fract_x
_atom_site_fract_y
_atom_site_fract_z
Y1 Y 0.1222 0.1222 0.1222
Y2 Y 0.3727 0.3727 0.3727
Y3 Y 0.6273 0.6273 0.6273
Y4 Y 0.8778 0.8778 0.8778
In1 In 0.2476 0.2476 0.2476
In2 In 0.7524 0.7524 0.7524
Ga1 Ga 0.0000 0.0000 0.0000
Hg1 Hg 0.5000 0.5000 0.5000
```

Main lines, low angle first (2θ from 10° to 80°):
d 8.561, 2θ 10.33, I 5.1; d 4.489, 2θ 19.78, I 3.4; d 3.717, 2θ 23.94, I 3.2; d 2.858, 2θ 31.30, I 2.8; d 2.628, 2θ 34.11, I 100.0; d 1.859, 2θ 49.01, I 17.6; d 1.519, 2θ 61.01, I 27.1; d 1.514, 2θ 61.22, I 8.6; d 1.316, 2θ 71.72, I 5.6; d 1.312, 2θ 71.95, I 5.3